# 1
This entry pairs a crystal structure of H2RhAu with its simulated powder diffraction line list. Radiation: Cu Kα (weighted mean of Kα1 and Kα2). Structure: the PBE geometry in Alexandria.
Lines closer than 0.1° are merged.

Top 6 peaks for 2θ = 5–70°, in order of rising 2θ:
2θ (°)  I_rel
32.05  89
35.21  73
37.63  88
43.89  100
48.34  59
69.22  26

Unit cell a=5.6024 b=5.6024 c=5.0979 alpha=90.00 beta=90.00 gamma=150.10
Element x y z (fractional)
H: 0.1811 0.8189 0.5482
H: 0.1811 0.8189 0.9518
H: 0.8189 0.1811 0.0482
H: 0.8189 0.1811 0.4518
Rh: 0.2807 0.7193 0.2500
Rh: 0.7193 0.2807 0.7500
Au: 0.4537 0.5463 0.7500
Au: 0.5463 0.4537 0.2500

# 2
This entry pairs a crystal structure of LiNd2Bi with its simulated powder diffraction line list. Radiation: Cu Kα (weighted mean of Kα1 and Kα2). Structure: the PBE geometry in Alexandria.
Lines closer than 0.1° are merged.

Top 6 peaks for 2θ = 5–70°, in order of rising 2θ:
2θ (°)  I_rel
17.37  71
26.71  53
31.51  97
32.56  100
35.16  77
55.06  49

Unit cell a=6.7514 b=6.7514 c=6.7514 alpha=117.20 beta=98.45 gamma=113.33
Element x y z (fractional)
Li: 0.2947 0.0447 0.2500
Li: 0.7053 0.9553 0.7500
Nd: 0.2254 0.0000 0.7254
Nd: 0.2254 0.5000 0.2254
Nd: 0.7746 0.0000 0.2746
Nd: 0.7746 0.5000 0.7746
Bi: 0.2906 0.5406 0.7500
Bi: 0.7094 0.4594 0.2500

# 3
This entry pairs a crystal structure of K2CaP2S6 with its simulated powder diffraction line list. Radiation: Cu Kα (weighted mean of Kα1 and Kα2). Structure: the PBE geometry in Alexandria.
Lines closer than 0.1° are merged.

Top 6 peaks for 2θ = 5–70°, in order of rising 2θ:
2θ (°)  I_rel
16.90  49
24.81  39
25.68  33
30.91  47
34.18  100
52.79  41

Unit cell a=8.2202 b=8.2202 c=8.2202 alpha=49.91 beta=49.91 gamma=49.91
Element x y z (fractional)
K: 0.2203 0.2203 0.2203
K: 0.7797 0.7797 0.7797
Ca: 0.0000 0.0000 0.0000
P: 0.4462 0.4462 0.4462
P: 0.5538 0.5538 0.5538
S: 0.2468 0.7392 0.7392
S: 0.2608 0.2608 0.7532
S: 0.2608 0.7532 0.2608
S: 0.7392 0.2468 0.7392
S: 0.7392 0.7392 0.2468
S: 0.7532 0.2608 0.2608

# 4
This entry pairs a crystal structure of Nd2Dy5Co4 with its simulated powder diffraction line list. Radiation: Cu Kα (weighted mean of Kα1 and Kα2). Structure: the PBE geometry in Alexandria.
Lines closer than 0.1° are merged.

Top 6 peaks for 2θ = 5–70°, in order of rising 2θ:
2θ (°)  I_rel
30.05  100
30.40  80
31.42  46
33.18  60
34.01  48
51.16  45

Unit cell a=6.8842 b=6.8842 c=8.9375 alpha=123.06 beta=123.06 gamma=56.98
Element x y z (fractional)
Nd: 0.2194 0.2194 0.1216
Nd: 0.7806 0.7806 0.8784
Dy: 0.1685 0.6860 0.6057
Dy: 0.3140 0.8315 0.3943
Dy: 0.5000 0.5000 0.0000
Dy: 0.6860 0.1685 0.6057
Dy: 0.8315 0.3140 0.3943
Co: 0.1724 0.1724 0.7846
Co: 0.2821 0.2821 0.6567
Co: 0.7179 0.7179 0.3433
Co: 0.8276 0.8276 0.2154

# 5
This entry pairs a crystal structure of Pm2NdEr5 with its simulated powder diffraction line list. Radiation: Cu Kα (weighted mean of Kα1 and Kα2). Structure: the PBE geometry in Alexandria.
Lines closer than 0.1° are merged.

Top 6 peaks for 2θ = 5–70°, in order of rising 2θ:
2θ (°)  I_rel
29.11  30
30.50  24
31.36  100
31.83  23
38.09  14
55.81  17

Unit cell a=9.5217 b=9.5217 c=6.4735 alpha=96.55 beta=96.55 gamma=62.52
Element x y z (fractional)
Pm: 0.1699 0.6772 0.8867
Pm: 0.3228 0.8301 0.6133
Pm: 0.6772 0.1699 0.3867
Pm: 0.8301 0.3228 0.1133
Nd: 0.0000 0.5000 0.0000
Nd: 0.5000 0.0000 0.5000
Er: 0.0096 0.1886 0.6424
Er: 0.1886 0.0096 0.1424
Er: 0.2148 0.3943 0.4791
Er: 0.3943 0.2148 0.9791
Er: 0.4430 0.5570 0.2500
Er: 0.5570 0.4430 0.7500
Er: 0.6057 0.7852 0.0209
Er: 0.7852 0.6057 0.5209
Er: 0.8114 0.9904 0.8576
Er: 0.9904 0.8114 0.3576

# 6
This entry pairs a crystal structure of Li8InRh2 with its simulated powder diffraction line list. Radiation: Cu Kα (weighted mean of Kα1 and Kα2). Structure: the PBE geometry in Alexandria.
Lines closer than 0.1° are merged.

Top 6 peaks for 2θ = 5–70°, in order of rising 2θ:
2θ (°)  I_rel
13.02  100
18.51  44
29.45  14
33.16  14
37.58  25
40.62  12

Unit cell a=6.8351 b=6.8351 c=4.5880 alpha=95.65 beta=95.65 gamma=89.04
Element x y z (fractional)
Li: 0.0863 0.0863 0.3059
Li: 0.1043 0.5987 0.3113
Li: 0.2299 0.2299 0.9070
Li: 0.4013 0.8957 0.6887
Li: 0.5987 0.1043 0.3113
Li: 0.7701 0.7701 0.0930
Li: 0.8957 0.4013 0.6887
Li: 0.9137 0.9137 0.6941
In: 0.5000 0.5000 0.0000
Rh: 0.3547 0.3547 0.4613
Rh: 0.6453 0.6453 0.5387

# 7
This entry pairs a crystal structure of Ac2MgSn4Au3 with its simulated powder diffraction line list. Radiation: Cu Kα (weighted mean of Kα1 and Kα2). Structure: the PBE geometry in Alexandria.
Lines closer than 0.1° are merged.

Top 6 peaks for 2θ = 5–70°, in order of rising 2θ:
2θ (°)  I_rel
29.35  68
30.98  100
38.76  64
42.16  47
49.35  35
58.59  37

Unit cell a=4.6467 b=4.6467 c=12.0797 alpha=90.00 beta=90.00 gamma=90.00
Element x y z (fractional)
Ac: 0.0000 0.5000 0.2494
Ac: 0.5000 0.0000 0.7506
Mg: 0.0000 0.0000 0.5000
Sn: 0.0000 0.0000 0.0000
Sn: 0.0000 0.5000 0.6367
Sn: 0.5000 0.0000 0.3633
Sn: 0.5000 0.5000 0.0000
Au: 0.0000 0.5000 0.8604
Au: 0.5000 0.0000 0.1396
Au: 0.5000 0.5000 0.5000